# Gd2Th
Simulated PXRD pattern, Cu Kα. Input: a DFT-relaxed cell (GGA-PBE, Alexandria).
Kinematic intensities with the Lorentz-polarization factor, no thermal factor.

abc: 6.490 6.490 6.490
angles: 60.00 60.00 60.00
Sites, in units of the cell vectors:
1 Gd 0.000 0.000 0.000
2 Gd 0.000 0.000 0.500
3 Gd 0.000 0.500 0.000
4 Gd 0.500 0.000 0.000
5 Th 0.375 0.375 0.375
6 Th 0.625 0.625 0.625

Principal peaks in the range 2θ = 10–90°, by angle:
d_spacing, I/Imax
3.245, 38
2.767, 100
2.649, 29
1.873, 17
1.766, 36
1.622, 30
1.451, 7
1.400, 13
1.384, 12
1.226, 9
1.195, 23
1.147, 5